1.
Structure and simulated X-ray powder pattern of Ce6AlPb2 (DFT lattice parameters and positions (GGA-PBE); CuKα).
No peak broadening, texture or thermal motion is included.

Most intense lines, 10 to 80 degrees two-theta, by angle:
2theta  d_spacing  Rel. int.
11.24  7.874  10.9
22.58  3.937  14.6
30.02  2.976  8.6
30.24  2.955  10.0
34.16  2.625  100.0
34.35  2.610  92.6
49.23  1.851  32.8
50.66  1.802  8.6
61.16  1.515  16.8
61.28  1.513  32.3
68.91  1.363  26.3
71.95  1.312  9.9

a b c (Å): 9.092 9.092 3.188
angles (deg): 90.00 90.00 120.00
Atoms (fractional coordinates):
Ce 0.000 0.315 0.000
Ce 0.000 0.685 0.000
Ce 0.315 0.000 0.000
Ce 0.315 0.315 0.000
Ce 0.685 0.000 0.000
Ce 0.685 0.685 0.000
Al 0.000 0.000 0.500
Pb 0.333 0.667 0.500
Pb 0.667 0.333 0.500

***

2.
Structure and simulated X-ray powder pattern of Na4LiHf3Se8 (DFT lattice parameters and positions (GGA-PBE); CuKα).
No peak broadening, texture or thermal motion is included.

Most intense lines, 10 to 80 degrees two-theta, by angle:
2theta  d_spacing  Rel. int.
12.69  6.978  57.1
13.79  6.423  14.7
26.76  3.331  14.8
31.55  2.836  100.0
40.30  2.238  17.1
43.78  2.068  36.1
46.62  1.948  34.6
48.52  1.876  12.3
57.38  1.606  17.8
65.87  1.418  10.5
72.77  1.300  13.2
76.95  1.239  14.9

a b c (Å): 8.303 8.303 8.303
angles (deg): 55.97 55.97 55.97
Atoms (fractional coordinates):
Na 0.000 0.000 0.000
Na 0.000 0.500 0.500
Na 0.500 0.000 0.500
Na 0.500 0.500 0.000
Li 0.500 0.500 0.500
Hf 0.000 0.000 0.500
Hf 0.000 0.500 0.000
Hf 0.500 0.000 0.000
Se 0.233 0.742 0.742
Se 0.241 0.241 0.241
Se 0.258 0.258 0.767
Se 0.258 0.767 0.258
Se 0.742 0.233 0.742
Se 0.742 0.742 0.233
Se 0.759 0.759 0.759
Se 0.767 0.258 0.258

***

3.
Structure and simulated X-ray powder pattern of Pr3Al3Au8 (DFT lattice parameters and positions (GGA-PBE); CuKα).
No peak broadening, texture or thermal motion is included.

Most intense lines, 10 to 80 degrees two-theta, by angle:
2theta  d_spacing  Rel. int.
30.10  2.969  29.9
32.69  2.739  13.3
33.44  2.680  100.0
33.84  2.649  88.0
35.35  2.539  21.1
37.54  2.396  52.1
38.57  2.334  60.7
38.78  2.322  17.7
44.47  2.037  19.7
49.69  1.835  15.2
66.54  1.405  15.0
66.77  1.401  14.0

a b c (Å): 8.571 8.571 9.081
angles (deg): 121.00 121.00 31.61
Atoms (fractional coordinates):
Pr 0.000 0.000 0.000
Pr 0.293 0.293 0.269
Pr 0.707 0.707 0.731
Al 0.000 0.000 0.500
Al 0.333 0.333 0.670
Al 0.667 0.667 0.330
Au 0.125 0.125 0.835
Au 0.144 0.144 0.434
Au 0.355 0.355 0.967
Au 0.490 0.490 0.659
Au 0.510 0.510 0.341
Au 0.645 0.645 0.033
Au 0.856 0.856 0.566
Au 0.875 0.875 0.165

***

4.
Structure and simulated X-ray powder pattern of LiCaIn4Ir2 (DFT lattice parameters and positions (GGA-PBE); CuKα).
No peak broadening, texture or thermal motion is included.

Most intense lines, 10 to 80 degrees two-theta, by angle:
2theta  d_spacing  Rel. int.
22.73  3.912  19.5
22.97  3.871  46.3
37.70  2.386  95.0
38.01  2.368  100.0
44.48  2.037  6.9
44.74  2.025  20.4
44.88  2.020  8.3
54.61  1.681  32.1
60.23  1.537  7.1
67.86  1.381  13.2
68.46  1.370  32.2
68.66  1.367  17.1

a b c (Å): 8.287 8.287 8.287
angles (deg): 33.20 33.20 33.20
Atoms (fractional coordinates):
Li 0.000 0.000 0.000
Ca 0.500 0.500 0.500
In 0.116 0.116 0.116
In 0.369 0.369 0.369
In 0.631 0.631 0.631
In 0.884 0.884 0.884
Ir 0.249 0.249 0.249
Ir 0.751 0.751 0.751

***

5.
Structure and simulated X-ray powder pattern of BaInB12 (DFT lattice parameters and positions (GGA-PBE); CuKα).
No peak broadening, texture or thermal motion is included.

Most intense lines, 10 to 80 degrees two-theta, by angle:
2theta  d_spacing  Rel. int.
18.07  4.908  0.7
20.90  4.250  56.5
29.73  3.005  100.0
36.62  2.454  42.0
42.54  2.125  21.6
47.85  1.901  48.2
52.75  1.735  24.9
61.73  1.503  9.4
65.93  1.417  28.0
70.00  1.344  19.9
73.96  1.282  12.2
77.85  1.227  2.0

a b c (Å): 6.011 6.011 6.011
angles (deg): 60.00 60.00 60.00
Atoms (fractional coordinates):
Ba 0.000 0.000 0.000
In 0.500 0.500 0.500
B 0.101 0.101 0.399
B 0.101 0.399 0.101
B 0.101 0.399 0.399
B 0.399 0.101 0.101
B 0.399 0.101 0.399
B 0.399 0.399 0.101
B 0.601 0.601 0.899
B 0.601 0.899 0.601
B 0.601 0.899 0.899
B 0.899 0.601 0.601
B 0.899 0.601 0.899
B 0.899 0.899 0.601

***

6.
Structure and simulated X-ray powder pattern of Na4Zn2F9 (DFT lattice parameters and positions (GGA-PBE); CuKα).
No peak broadening, texture or thermal motion is included.

Most intense lines, 10 to 80 degrees two-theta, by angle:
2theta  d_spacing  Rel. int.
18.29  4.850  100.0
21.87  4.064  42.8
30.26  2.954  80.8
31.96  2.800  45.1
36.85  2.439  46.2
44.59  2.032  38.9
49.04  1.858  64.9
52.77  1.735  10.9
55.90  1.645  36.1
56.96  1.617  40.2
65.55  1.424  19.4
78.42  1.220  11.9

a b c (Å): 5.601 5.601 14.895
angles (deg): 90.04 90.04 59.98
Atoms (fractional coordinates):
Na 0.166 0.167 0.021
Na 0.166 0.167 0.310
Na 0.167 0.166 0.521
Na 0.167 0.166 0.810
Na 0.833 0.834 0.190
Na 0.833 0.834 0.479
Na 0.834 0.833 0.690
Na 0.834 0.833 0.979
Zn 0.499 0.500 0.351
Zn 0.500 0.499 0.851
Zn 0.500 0.501 0.149
Zn 0.501 0.500 0.649
F 0.171 0.795 0.089
F 0.172 0.533 0.589
F 0.205 0.466 0.911
F 0.205 0.829 0.411
F 0.232 0.501 0.251
F 0.233 0.767 0.750
F 0.466 0.205 0.411
F 0.467 0.828 0.911
F 0.499 0.768 0.249
F 0.501 0.232 0.751
F 0.533 0.172 0.089
F 0.534 0.795 0.589
F 0.767 0.233 0.250
F 0.768 0.499 0.749
F 0.795 0.171 0.589
F 0.795 0.534 0.089
F 0.828 0.467 0.411
F 0.829 0.205 0.911